(1)
Diffraction record for CaSm4. The powder diffraction line list is calculated, not measured: it uses the PBE geometry in Alexandria and Cu Kα X-rays.

Top 10 peaks for 2θ from 15° to 90°, low angle first:
2θ/deg  d (Å)  Rel. int.
29.5  3.024  33
29.9  2.992  100
34.5  2.598  67
49.4  1.844  22
49.8  1.830  24
58.6  1.574  13
59.0  1.565  27
59.2  1.561  14
62.0  1.496  12
81.0  1.188  12

Structural model:
Cell: 15.2647 15.2647 15.2647 Å, 13.77 13.77 13.77°
Fractional positions:
Ca: 0.0000 0.0000 0.0000
Sm: 0.1996 0.1996 0.1996
Sm: 0.4037 0.4037 0.4037
Sm: 0.5963 0.5963 0.5963
Sm: 0.8004 0.8004 0.8004

---

(2)
Diffraction record for CaSm4Sn15. The powder diffraction line list is calculated, not measured: it uses the PBE geometry in Alexandria and Cu Kα X-rays.

Top 10 peaks for 2θ from 15° to 90°, low angle first:
2θ/deg  d (Å)  Rel. int.
32.6  2.743  100
37.2  2.417  18
38.2  2.356  33
54.4  1.687  24
55.1  1.666  12
64.2  1.451  15
65.6  1.424  28
68.4  1.372  12
81.8  1.178  4
89.6  1.094  13

Structural model:
Cell: 4.7111 4.7111 24.1736 Å, 90.00 90.00 90.00°
Fractional positions:
Ca: 0.0000 0.0000 0.0000
Sm: 0.0000 0.0000 0.2014
Sm: 0.0000 0.0000 0.4002
Sm: 0.0000 0.0000 0.5998
Sm: 0.0000 0.0000 0.7986
Sn: 0.0000 0.5000 0.0999
Sn: 0.0000 0.5000 0.3003
Sn: 0.0000 0.5000 0.5000
Sn: 0.0000 0.5000 0.6997
Sn: 0.0000 0.5000 0.9001
Sn: 0.5000 0.0000 0.0999
Sn: 0.5000 0.0000 0.3003
Sn: 0.5000 0.0000 0.5000
Sn: 0.5000 0.0000 0.6997
Sn: 0.5000 0.0000 0.9001
Sn: 0.5000 0.5000 0.0000
Sn: 0.5000 0.5000 0.1994
Sn: 0.5000 0.5000 0.4005
Sn: 0.5000 0.5000 0.5995
Sn: 0.5000 0.5000 0.8006

---

(3)
Diffraction record for SrCaSm. The powder diffraction line list is calculated, not measured: it uses the PBE geometry in Alexandria and Cu Kα X-rays.

Top 10 peaks for 2θ from 15° to 90°, low angle first:
2θ/deg  d (Å)  Rel. int.
26.7  3.344  26
27.1  3.295  12
27.7  3.218  25
30.1  2.967  100
38.8  2.319  17
47.1  1.931  20
50.5  1.806  18
55.5  1.656  21
56.9  1.618  16
76.9  1.240  13

Structural model:
Cell: 19.3089 3.8608 3.8608 Å, 60.03 90.00 90.00°
Fractional positions:
Sr: 0.1770 0.0000 0.0000
Sr: 0.8230 0.0000 0.0000
Ca: 0.0000 0.6667 0.6667
Ca: 0.5000 0.9983 0.9983
Sm: 0.3436 0.6652 0.6652
Sm: 0.6564 0.6652 0.6652

---

(4)
Diffraction record for CaTb3Sm5. The powder diffraction line list is calculated, not measured: it uses the PBE geometry in Alexandria and Cu Kα X-rays.

Top 10 peaks for 2θ from 15° to 90°, low angle first:
2θ/deg  d (Å)  Rel. int.
30.2  2.955  7
31.0  2.884  100
31.2  2.869  100
44.6  2.034  35
51.6  1.770  9
55.4  1.660  30
55.5  1.656  22
61.6  1.507  29
65.0  1.435  7
79.2  1.209  8

Structural model:
Cell: 9.9283 9.9283 7.0819 Å, 90.00 90.00 60.16°
Fractional positions:
Ca: 0.1794 0.8206 0.7500
Ca: 0.8206 0.1794 0.2500
Tb: 0.1680 0.1680 0.0000
Tb: 0.1680 0.1680 0.5000
Tb: 0.5000 0.5000 0.0000
Tb: 0.5000 0.5000 0.5000
Tb: 0.8320 0.8320 0.0000
Tb: 0.8320 0.8320 0.5000
Sm: 0.1438 0.4958 0.7500
Sm: 0.1615 0.8385 0.2500
Sm: 0.1901 0.4953 0.2500
Sm: 0.4953 0.1901 0.7500
Sm: 0.4958 0.1438 0.2500
Sm: 0.5042 0.8562 0.7500
Sm: 0.5047 0.8099 0.2500
Sm: 0.8099 0.5047 0.7500
Sm: 0.8385 0.1615 0.7500
Sm: 0.8562 0.5042 0.2500

---

(5)
Diffraction record for CaTb4Sm15. The powder diffraction line list is calculated, not measured: it uses the PBE geometry in Alexandria and Cu Kα X-rays.

Top 10 peaks for 2θ from 15° to 90°, low angle first:
2θ/deg  d (Å)  Rel. int.
30.2  2.960  100
35.0  2.563  51
50.3  1.812  36
59.8  1.546  43
62.8  1.480  12
81.9  1.177  6
81.9  1.176  11
84.5  1.147  6
84.5  1.147  5
84.6  1.145  5

Structural model:
Cell: 5.1294 5.1294 25.5971 Å, 90.00 90.00 90.00°
Fractional positions:
Ca: 0.0000 0.0000 0.0000
Tb: 0.0000 0.0000 0.2013
Tb: 0.0000 0.0000 0.4007
Tb: 0.0000 0.0000 0.5993
Tb: 0.0000 0.0000 0.7987
Sm: 0.0000 0.5000 0.1039
Sm: 0.0000 0.5000 0.3015
Sm: 0.0000 0.5000 0.5000
Sm: 0.0000 0.5000 0.6985
Sm: 0.0000 0.5000 0.8961
Sm: 0.5000 0.0000 0.1039
Sm: 0.5000 0.0000 0.3015
Sm: 0.5000 0.0000 0.5000
Sm: 0.5000 0.0000 0.6985
Sm: 0.5000 0.0000 0.8961
Sm: 0.5000 0.5000 0.0000
Sm: 0.5000 0.5000 0.2011
Sm: 0.5000 0.5000 0.4004
Sm: 0.5000 0.5000 0.5996
Sm: 0.5000 0.5000 0.7989

---

(6)
Diffraction record for CaTb7Sm4. The powder diffraction line list is calculated, not measured: it uses the PBE geometry in Alexandria and Cu Kα X-rays.

Top 10 peaks for 2θ from 15° to 90°, low angle first:
2θ/deg  d (Å)  Rel. int.
30.2  2.961  41
30.9  2.896  100
31.1  2.874  58
31.9  2.803  58
32.0  2.793  19
32.4  2.760  35
32.6  2.744  23
46.8  1.943  20
53.9  1.701  19
56.6  1.627  22

Structural model:
Cell: 6.5582 6.9296 9.1138 Å, 87.18 77.13 83.15°
Fractional positions:
Ca: 0.0000 0.0000 0.0000
Tb: 0.0000 0.5000 0.0000
Tb: 0.1994 0.0926 0.3827
Tb: 0.3107 0.7035 0.6416
Tb: 0.4884 0.2552 0.0488
Tb: 0.5116 0.7448 0.9512
Tb: 0.6893 0.2965 0.3584
Tb: 0.8006 0.9074 0.6173
Sm: 0.1577 0.5988 0.3168
Sm: 0.3592 0.2067 0.7125
Sm: 0.6408 0.7933 0.2875
Sm: 0.8423 0.4012 0.6832

---

(7)
Diffraction record for CaTb4Sm6. The powder diffraction line list is calculated, not measured: it uses the PBE geometry in Alexandria and Cu Kα X-rays.

Top 10 peaks for 2θ from 15° to 90°, low angle first:
2θ/deg  d (Å)  Rel. int.
27.7  3.218  77
29.0  3.076  33
33.8  2.655  100
34.1  2.629  34
37.3  2.411  20
38.3  2.350  19
45.4  1.998  19
52.2  1.752  16
59.4  1.555  27
60.8  1.523  31

Structural model:
Cell: 9.3984 9.3984 5.2573 Å, 90.00 90.00 120.00°
Fractional positions:
Ca: 0.0000 0.0000 0.0000
Tb: 0.3333 0.6667 0.0000
Tb: 0.4126 0.2063 0.5000
Tb: 0.7937 0.2063 0.5000
Tb: 0.7937 0.5874 0.5000
Sm: 0.2058 0.4115 0.5000
Sm: 0.2058 0.7942 0.5000
Sm: 0.5337 0.0674 0.0000
Sm: 0.5337 0.4663 0.0000
Sm: 0.5885 0.7942 0.5000
Sm: 0.9326 0.4663 0.0000

---

(8)
Diffraction record for Ca2SmTlTe4. The powder diffraction line list is calculated, not measured: it uses the PBE geometry in Alexandria and Cu Kα X-rays.

Top 10 peaks for 2θ from 15° to 90°, low angle first:
2θ/deg  d (Å)  Rel. int.
22.7  3.921  14
27.4  3.252  100
27.7  3.222  49
38.9  2.318  57
39.5  2.282  19
39.9  2.261  37
47.5  1.914  10
48.9  1.862  20
49.3  1.850  10
56.6  1.626  13

Structural model:
Cell: 7.8069 4.5648 8.0767 Å, 90.00 108.57 90.00°
Fractional positions:
Ca: 0.0000 0.0000 0.0000
Ca: 0.0000 0.5000 0.5000
Sm: 0.5000 0.0000 0.5000
Tl: 0.5000 0.5000 0.0000
Te: 0.2397 0.0000 0.7303
Te: 0.2502 0.5000 0.2614
Te: 0.7498 0.5000 0.7386
Te: 0.7603 0.0000 0.2697

---

(9)
Diffraction record for Ca4Sm3TmTe8. The powder diffraction line list is calculated, not measured: it uses the PBE geometry in Alexandria and Cu Kα X-rays.

Top 10 peaks for 2θ from 15° to 90°, low angle first:
2θ/deg  d (Å)  Rel. int.
23.6  3.770  10
28.4  3.148  100
40.2  2.243  39
40.9  2.209  37
49.4  1.846  7
50.5  1.808  20
58.7  1.574  13
66.0  1.416  18
66.9  1.399  17
73.9  1.282  12

Structural model:
Cell: 8.9739 8.9739 8.9739 Å, 58.98 58.98 58.98°
Fractional positions:
Ca: 0.0000 0.0000 0.0000
Ca: 0.0000 0.5000 0.5000
Ca: 0.5000 0.0000 0.5000
Ca: 0.5000 0.5000 0.0000
Sm: 0.0000 0.0000 0.5000
Sm: 0.0000 0.5000 0.0000
Sm: 0.5000 0.0000 0.0000
Tm: 0.5000 0.5000 0.5000
Te: 0.2507 0.2507 0.2507
Te: 0.2539 0.2539 0.7446
Te: 0.2539 0.7446 0.2539
Te: 0.2554 0.7461 0.7461
Te: 0.7446 0.2539 0.2539
Te: 0.7461 0.2554 0.7461
Te: 0.7461 0.7461 0.2554
Te: 0.7493 0.7493 0.7493

---

(10)
Diffraction record for CaSm7Tl4. The powder diffraction line list is calculated, not measured: it uses the PBE geometry in Alexandria and Cu Kα X-rays.

Top 10 peaks for 2θ from 15° to 90°, low angle first:
2θ/deg  d (Å)  Rel. int.
16.7  5.295  25
28.1  3.172  52
29.2  3.063  40
30.0  2.980  21
30.5  2.931  100
32.4  2.763  68
35.4  2.532  63
35.6  2.519  45
40.2  2.241  23
42.0  2.153  35

Structural model:
Cell: 7.9355 7.9355 10.5973 Å, 120.60 120.60 43.35°
Fractional positions:
Ca: 0.0000 0.0000 0.0000
Sm: 0.0613 0.0613 0.3964
Sm: 0.2085 0.2085 0.8793
Sm: 0.2765 0.2765 0.3419
Sm: 0.5000 0.5000 0.0000
Sm: 0.7235 0.7235 0.6581
Sm: 0.7915 0.7915 0.1207
Sm: 0.9387 0.9387 0.6036
Tl: 0.3146 0.3146 0.6686
Tl: 0.4394 0.4394 0.2484
Tl: 0.5606 0.5606 0.7516
Tl: 0.6854 0.6854 0.3314

---

(11)
Diffraction record for CaSm5Tl4. The powder diffraction line list is calculated, not measured: it uses the PBE geometry in Alexandria and Cu Kα X-rays.

Top 10 peaks for 2θ from 15° to 90°, low angle first:
2θ/deg  d (Å)  Rel. int.
31.4  2.851  100
34.1  2.627  80
49.0  1.859  19
54.1  1.696  10
57.6  1.601  16
59.4  1.557  33
61.1  1.517  11
68.6  1.367  10
72.7  1.300  10
82.0  1.175  11

Structural model:
Cell: 3.7175 3.7175 22.2050 Å, 90.00 90.00 90.00°
Fractional positions:
Ca: 0.0000 0.0000 0.0000
Sm: 0.5000 0.5000 0.1266
Sm: 0.5000 0.5000 0.3121
Sm: 0.5000 0.5000 0.5000
Sm: 0.5000 0.5000 0.6879
Sm: 0.5000 0.5000 0.8734
Tl: 0.0000 0.0000 0.2175
Tl: 0.0000 0.0000 0.4062
Tl: 0.0000 0.0000 0.5938
Tl: 0.0000 0.0000 0.7825

---

(12)
Diffraction record for Ca2Sm5Tm4. The powder diffraction line list is calculated, not measured: it uses the PBE geometry in Alexandria and Cu Kα X-rays.

Top 10 peaks for 2θ from 15° to 90°, low angle first:
2θ/deg  d (Å)  Rel. int.
30.5  2.932  100
31.0  2.884  92
31.3  2.855  42
32.0  2.798  52
33.9  2.644  24
42.7  2.120  13
45.4  1.999  15
45.4  1.997  15
54.3  1.689  13
56.4  1.632  17

Structural model:
Cell: 5.5959 8.8747 8.8983 Å, 115.85 108.30 90.06°
Fractional positions:
Ca: 0.0915 0.4598 0.1823
Ca: 0.9085 0.5402 0.8177
Sm: 0.0000 0.0000 0.0000
Sm: 0.2570 0.3256 0.5130
Sm: 0.4319 0.2220 0.8634
Sm: 0.5681 0.7780 0.1366
Sm: 0.7430 0.6744 0.4870
Tm: 0.2032 0.9043 0.4067
Tm: 0.3735 0.7919 0.7477
Tm: 0.6265 0.2081 0.2523
Tm: 0.7968 0.0957 0.5933

---

(13)
Diffraction record for CaSm12Tm7. The powder diffraction line list is calculated, not measured: it uses the PBE geometry in Alexandria and Cu Kα X-rays.

Top 10 peaks for 2θ from 15° to 90°, low angle first:
2θ/deg  d (Å)  Rel. int.
15.4  5.768  31
21.8  4.078  22
26.8  3.330  59
31.0  2.884  100
34.8  2.579  17
44.4  2.039  70
52.6  1.739  21
55.2  1.665  23
73.4  1.290  26
81.8  1.177  19

Structural model:
Cell: 9.9899 9.9899 9.9899 Å, 109.47 109.47 109.47°
Fractional positions:
Ca: 0.0000 0.0000 0.0000
Sm: 0.0000 0.2658 0.7342
Sm: 0.0000 0.7342 0.2658
Sm: 0.2658 0.0000 0.7342
Sm: 0.2658 0.2658 0.5315
Sm: 0.2658 0.5315 0.2658
Sm: 0.2658 0.7342 0.0000
Sm: 0.4685 0.7342 0.7342
Sm: 0.5315 0.2658 0.2658
Sm: 0.7342 0.0000 0.2658
Sm: 0.7342 0.2658 0.0000
Sm: 0.7342 0.4685 0.7342
Sm: 0.7342 0.7342 0.4685
Tm: 0.0000 0.0000 0.5000
Tm: 0.0000 0.5000 0.0000
Tm: 0.0000 0.5000 0.5000
Tm: 0.5000 0.0000 0.0000
Tm: 0.5000 0.0000 0.5000
Tm: 0.5000 0.5000 0.0000
Tm: 0.5000 0.5000 0.5000